Record 1
Structure and theoretical powder diffraction line list of Nd3In5 (a cell relaxed with GGA-PBE; a wavelength of 1.5418 Å).
Intensities are scaled so that the largest is 1000.

Top 10 peaks for 2θ = 10–90°, by angle:
28.86°, rel. 288
32.47°, rel. 1000
33.01°, rel. 260
33.47°, rel. 321
33.86°, rel. 369
35.02°, rel. 255
37.75°, rel. 224
38.22°, rel. 255
55.76°, rel. 176
64.75°, rel. 157

Structural model:
Cell lengths 10.249, 8.321, 10.591 Å; angles 90.00, 90.00, 90.00 degrees
Space group Cmcm (No. 63)
Unique sites:
Nd (0.000, 0.132, 0.250) [4 per cell]
Nd (0.203, 0.500, 0.000) [8 per cell]
In (0.000, 0.191, 0.550) [8 per cell]
In (0.000, 0.487, 0.750) [4 per cell]
In (0.214, 0.211, 0.750) [8 per cell]

Record 2
Structure and theoretical powder diffraction line list of Nd5In11Ni6 (a cell relaxed with GGA-PBE; a wavelength of 1.5418 Å).
Intensities are scaled so that the largest is 1000.

Top 10 peaks for 2θ = 10–90°, by angle:
31.70°, rel. 230
32.91°, rel. 1000
34.05°, rel. 322
36.82°, rel. 205
37.35°, rel. 174
40.91°, rel. 349
41.31°, rel. 144
43.58°, rel. 153
56.17°, rel. 201
63.85°, rel. 172

Structural model:
Cell lengths 14.648, 14.697, 4.411 Å; angles 90.00, 90.00, 90.00 degrees
Space group Cmmm (No. 65)
Unique sites:
Nd (0.000, 0.000, 0.000) [2 per cell]
Nd (0.174, 0.363, 0.500) [8 per cell]
In (0.000, 0.196, 0.500) [4 per cell]
In (0.000, 0.340, 0.000) [4 per cell]
In (0.000, 0.500, 0.500) [2 per cell]
In (0.156, 0.193, 0.000) [8 per cell]
In (0.225, 0.000, 0.000) [4 per cell]
Ni (0.094, 0.500, 0.000) [4 per cell]
Ni (0.138, 0.083, 0.500) [8 per cell]